Starting from a structure optimized by DFT (GGA+U), the powder diffractogram of LiDyW2O8 was calculated for CuKα.
No peak broadening, texture or thermal motion is included.

Atomic structure:
a = 5.0893 Å, b = 5.9862 Å, c = 11.0542 Å
α = 90.00°, β = 114.76°, γ = 90.00°
Element x y z (fractional)
Li  0.0000  0.2383  0.2500
Li  0.0000  0.7617  0.7500
Dy  0.5000  0.1684  0.7500
Dy  0.5000  0.8316  0.2500
W  0.2634  0.3297  0.0113
W  0.2634  0.6703  0.5113
W  0.7366  0.3297  0.4887
W  0.7366  0.6703  0.9887
O  0.1581  0.3900  0.5979
O  0.1581  0.6100  0.0979
O  0.2334  0.1386  0.1340
O  0.2334  0.8614  0.6340
O  0.2781  0.1339  0.8873
O  0.2781  0.8661  0.3873
O  0.3397  0.4091  0.3911
O  0.3397  0.5909  0.8911
O  0.6603  0.4091  0.1089
O  0.6603  0.5909  0.6089
O  0.7219  0.1339  0.6127
O  0.7219  0.8661  0.1127
O  0.7666  0.1386  0.3660
O  0.7666  0.8614  0.8660
O  0.8419  0.3900  0.9021
O  0.8419  0.6100  0.4021

Main lines, by angle (2θ from 10° to 90°):
(hkl), 2θ/deg, I_rel
0 0 2, 17.67, 34
1 1 -1, 22.95, 30
0 1 2, 23.13, 57
1 1 1, 28.61, 100
1 1 -3, 29.61, 89
1 2 -1, 34.78, 45
2 0 -2, 35.31, 29
0 3 2, 49.13, 30